1.
Diffraction record for OsO2F2. The powder X-ray diffraction pattern is simulated, not measured: it uses a PBE-relaxed structure and Cu Kα X-rays.
Neutral-atom scattering factors, no anomalous dispersion.

Structural model:
Cell lengths 8.680, 8.793, 9.134 Å; angles 90.61, 90.50, 90.15 degrees
Fractional coordinates of all 40 atoms:
Os 0.000 0.000 0.000
Os 0.000 0.499 0.276
Os 0.258 0.999 0.499
Os 0.499 0.758 0.000
Os 0.501 0.251 0.972
Os 0.503 0.497 0.497
Os 0.750 0.997 0.487
Os 0.990 0.499 0.751
O 0.108 0.613 0.862
O 0.120 0.616 0.374
O 0.140 0.111 0.388
O 0.361 0.121 0.613
O 0.362 0.883 0.382
O 0.381 0.368 0.876
O 0.385 0.861 0.881
O 0.607 0.637 0.888
O 0.619 0.133 0.878
O 0.620 0.860 0.115
O 0.635 0.123 0.392
O 0.860 0.107 0.610
O 0.875 0.884 0.390
O 0.882 0.382 0.371
O 0.888 0.619 0.637
O 0.889 0.383 0.867
F 0.096 0.401 0.114
F 0.120 0.381 0.632
F 0.124 0.119 0.876
F 0.124 0.877 0.121
F 0.131 0.882 0.618
F 0.372 0.378 0.378
F 0.380 0.622 0.620
F 0.385 0.627 0.120
F 0.404 0.153 0.131
F 0.595 0.348 0.137
F 0.622 0.378 0.626
F 0.622 0.625 0.377
F 0.634 0.883 0.621
F 0.878 0.877 0.874
F 0.879 0.124 0.124
F 0.902 0.595 0.114

Largest 8 diffraction maxima, in order of rising 2θ, 2θ = 10–90°:
- 2θ = 21.87°, d = 4.063 Å, rel. 79, hkl 1 0 -2
- 2θ = 22.05°, d = 4.031 Å, rel. 98, hkl 0 1 2
- 2θ = 22.57°, d = 3.939 Å, rel. 91, hkl 0 2 1
- 2θ = 22.67°, d = 3.922 Å, rel. 89, hkl 1 -2 0
- 2θ = 22.80°, d = 3.901 Å, rel. 83, hkl 2 -1 0
- 2θ = 24.62°, d = 3.616 Å, rel. 66, hkl 1 2 -1
- 2θ = 24.78°, d = 3.593 Å, rel. 100, hkl -2 1 1
- 2θ = 24.86°, d = 3.581 Å, rel. 70, hkl 2 -1 1


2.
Diffraction record for OsO3F2. The powder X-ray diffraction pattern is simulated, not measured: it uses a PBE-relaxed structure and Cu Kα X-rays.
Neutral-atom scattering factors, no anomalous dispersion.

Structural model:
Cell lengths 5.676, 5.161, 12.638 Å; angles 90.00, 99.27, 90.00 degrees
Fractional coordinates of all 24 atoms:
Os 0.191 0.212 0.360
Os 0.191 0.288 0.860
Os 0.809 0.712 0.140
Os 0.809 0.788 0.640
O 0.245 0.100 0.973
O 0.245 0.400 0.473
O 0.325 0.575 0.903
O 0.325 0.925 0.403
O 0.384 0.163 0.782
O 0.384 0.337 0.282
O 0.616 0.663 0.718
O 0.616 0.837 0.218
O 0.675 0.075 0.597
O 0.675 0.425 0.097
O 0.755 0.600 0.527
O 0.755 0.900 0.027
F 0.041 0.026 0.213
F 0.041 0.474 0.713
F 0.123 0.617 0.116
F 0.123 0.883 0.616
F 0.877 0.117 0.384
F 0.877 0.383 0.884
F 0.959 0.526 0.287
F 0.959 0.974 0.787

Largest 8 diffraction maxima, in order of rising 2θ, 2θ = 10–90°:
- 2θ = 15.82°, d = 5.602 Å, rel. 20, hkl 1 0 0
- 2θ = 19.52°, d = 4.548 Å, rel. 74, hkl 1 0 -2
- 2θ = 22.36°, d = 3.976 Å, rel. 100, hkl 0 1 2
- 2θ = 22.99°, d = 3.869 Å, rel. 33, hkl 1 0 2
- 2θ = 23.44°, d = 3.796 Å, rel. 72, hkl 1 1 0
- 2θ = 28.63°, d = 3.118 Å, rel. 21, hkl 0 0 4
- 2θ = 28.84°, d = 3.096 Å, rel. 16, hkl 1 1 2
- 2θ = 35.18°, d = 2.551 Å, rel. 22, hkl 1 1 -4


3.
Diffraction record for OsOF5. The powder X-ray diffraction pattern is simulated, not measured: it uses a PBE-relaxed structure and Cu Kα X-rays.
Neutral-atom scattering factors, no anomalous dispersion.

Structural model:
Cell lengths 9.686, 5.166, 8.882 Å; angles 90.00, 90.00, 90.00 degrees
Fractional coordinates of all 28 atoms:
Os 0.128 0.082 0.000
Os 0.372 0.582 0.500
Os 0.628 0.418 0.000
Os 0.872 0.918 0.500
O 0.226 0.949 0.862
O 0.274 0.449 0.362
O 0.726 0.551 0.862
O 0.774 0.051 0.362
F 0.004 0.802 0.012
F 0.005 0.253 0.869
F 0.018 0.228 0.156
F 0.231 0.389 0.015
F 0.231 0.939 0.159
F 0.269 0.439 0.659
F 0.269 0.889 0.515
F 0.482 0.728 0.656
F 0.495 0.753 0.369
F 0.496 0.302 0.512
F 0.504 0.698 0.012
F 0.505 0.247 0.869
F 0.518 0.272 0.156
F 0.731 0.111 0.015
F 0.731 0.561 0.159
F 0.769 0.061 0.659
F 0.769 0.611 0.515
F 0.982 0.772 0.656
F 0.995 0.747 0.369
F 0.996 0.198 0.512

Largest 8 diffraction maxima, in order of rising 2θ, 2θ = 10–90°:
- 2θ = 19.48°, d = 4.558 Å, rel. 45, hkl 1 1 0
- 2θ = 19.88°, d = 4.465 Å, rel. 29, hkl 0 1 1
- 2θ = 19.99°, d = 4.441 Å, rel. 58, hkl 0 0 2
- 2θ = 20.89°, d = 4.252 Å, rel. 100, hkl 2 0 1
- 2θ = 21.92°, d = 4.055 Å, rel. 66, hkl 1 1 1
- 2θ = 28.05°, d = 3.181 Å, rel. 32, hkl 1 1 2
- 2θ = 35.54°, d = 2.526 Å, rel. 20, hkl 2 0 3
- 2θ = 42.50°, d = 2.127 Å, rel. 17, hkl 4 0 2


4.
Diffraction record for OsOF5. The powder X-ray diffraction pattern is simulated, not measured: it uses a PBE-relaxed structure and Cu Kα X-rays.
Neutral-atom scattering factors, no anomalous dispersion.

Structural model:
Cell lengths 9.695, 8.921, 5.238 Å; angles 90.00, 90.00, 90.00 degrees
Fractional coordinates of all 28 atoms:
Os 0.115 0.250 0.074
Os 0.385 0.750 0.574
Os 0.615 0.250 0.426
Os 0.885 0.750 0.926
O 0.014 0.250 0.810
O 0.486 0.750 0.310
O 0.514 0.250 0.690
O 0.986 0.750 0.190
F 0.013 0.101 0.244
F 0.013 0.399 0.244
F 0.226 0.250 0.375
F 0.238 0.102 0.956
F 0.238 0.398 0.956
F 0.262 0.602 0.456
F 0.262 0.898 0.456
F 0.274 0.750 0.875
F 0.487 0.601 0.744
F 0.487 0.899 0.744
F 0.513 0.101 0.256
F 0.513 0.399 0.256
F 0.726 0.250 0.125
F 0.738 0.102 0.544
F 0.738 0.398 0.544
F 0.762 0.602 0.044
F 0.762 0.898 0.044
F 0.774 0.750 0.625
F 0.987 0.601 0.756
F 0.987 0.899 0.756

Largest 8 diffraction maxima, in order of rising 2θ, 2θ = 10–90°:
- 2θ = 19.26°, d = 4.608 Å, rel. 53, hkl 1 0 1
- 2θ = 19.65°, d = 4.517 Å, rel. 28, hkl 0 1 1
- 2θ = 19.90°, d = 4.461 Å, rel. 55, hkl 0 2 0
- 2θ = 20.86°, d = 4.259 Å, rel. 100, hkl 2 1 0
- 2θ = 21.71°, d = 4.094 Å, rel. 65, hkl 1 1 1
- 2θ = 27.84°, d = 3.205 Å, rel. 39, hkl 1 2 1
- 2θ = 34.11°, d = 2.628 Å, rel. 24, hkl 3 1 1
- 2θ = 35.42°, d = 2.534 Å, rel. 24, hkl 2 3 0


5.
Diffraction record for OsOF4. The powder X-ray diffraction pattern is simulated, not measured: it uses a PBE-relaxed structure and Cu Kα X-rays.
Neutral-atom scattering factors, no anomalous dispersion.

Structural model:
Cell lengths 5.645, 13.076, 5.716 Å; angles 90.00, 117.42, 90.00 degrees
Fractional coordinates of all 24 atoms:
Os 0.119 0.148 0.332
Os 0.119 0.352 0.832
Os 0.881 0.648 0.168
Os 0.881 0.852 0.668
O 0.211 0.626 0.310
O 0.211 0.874 0.810
O 0.789 0.126 0.190
O 0.789 0.374 0.690
F 0.057 0.214 0.973
F 0.057 0.286 0.473
F 0.232 0.086 0.664
F 0.232 0.414 0.164
F 0.239 0.030 0.228
F 0.239 0.470 0.728
F 0.457 0.207 0.440
F 0.457 0.293 0.940
F 0.543 0.707 0.060
F 0.543 0.793 0.560
F 0.761 0.530 0.272
F 0.761 0.970 0.772
F 0.768 0.586 0.836
F 0.768 0.914 0.336
F 0.943 0.714 0.527
F 0.943 0.786 0.027

Largest 8 diffraction maxima, in order of rising 2θ, 2θ = 10–90°:
- 2θ = 13.54°, d = 6.538 Å, rel. 17, hkl 0 2 0
- 2θ = 17.70°, d = 5.011 Å, rel. 55, hkl 1 0 0
- 2θ = 18.96°, d = 4.679 Å, rel. 60, hkl 1 1 0
- 2θ = 22.18°, d = 4.008 Å, rel. 86, hkl 0 2 1
- 2θ = 22.82°, d = 3.897 Å, rel. 100, hkl 1 2 -1
- 2θ = 27.28°, d = 3.269 Å, rel. 21, hkl 0 4 0
- 2θ = 31.34°, d = 2.854 Å, rel. 20, hkl 1 0 -2
- 2θ = 36.51°, d = 2.461 Å, rel. 19, hkl 2 1 0


6.
Diffraction record for OsO2F3. The powder X-ray diffraction pattern is simulated, not measured: it uses a PBE-relaxed structure and Cu Kα X-rays.
Neutral-atom scattering factors, no anomalous dispersion.

Structural model:
Cell lengths 5.764, 10.329, 12.910 Å; angles 90.00, 101.48, 90.00 degrees
Fractional coordinates of all 48 atoms:
Os 0.029 0.242 0.497
Os 0.029 0.258 0.997
Os 0.341 0.508 0.217
Os 0.341 0.992 0.717
Os 0.659 0.008 0.283
Os 0.659 0.492 0.783
Os 0.971 0.742 0.003
Os 0.971 0.758 0.503
O 0.259 0.166 0.460
O 0.259 0.334 0.960
O 0.395 0.078 0.833
O 0.395 0.422 0.333
O 0.469 0.655 0.253
O 0.469 0.845 0.753
O 0.471 0.559 0.855
O 0.471 0.941 0.355
O 0.529 0.059 0.645
O 0.529 0.441 0.145
O 0.531 0.155 0.247
O 0.531 0.345 0.747
O 0.605 0.578 0.667
O 0.605 0.922 0.167
O 0.741 0.666 0.040
O 0.741 0.834 0.540
F 0.026 0.556 0.225
F 0.026 0.944 0.725
F 0.092 0.665 0.629
F 0.092 0.835 0.129
F 0.117 0.156 0.643
F 0.117 0.344 0.143
F 0.183 0.106 0.055
F 0.183 0.394 0.555
F 0.187 0.590 0.058
F 0.187 0.910 0.558
F 0.239 0.710 0.449
F 0.239 0.790 0.949
F 0.761 0.210 0.051
F 0.761 0.290 0.551
F 0.813 0.090 0.442
F 0.813 0.410 0.942
F 0.817 0.606 0.445
F 0.817 0.894 0.945
F 0.883 0.656 0.857
F 0.883 0.844 0.357
F 0.908 0.165 0.871
F 0.908 0.335 0.371
F 0.974 0.056 0.275
F 0.974 0.444 0.775

Largest 8 diffraction maxima, in order of rising 2θ, 2θ = 10–90°:
- 2θ = 18.05°, d = 4.915 Å, rel. 26, hkl 1 1 -1
- 2θ = 18.87°, d = 4.704 Å, rel. 70, hkl 1 0 -2
- 2θ = 20.36°, d = 4.363 Å, rel. 27, hkl 1 1 1
- 2θ = 22.22°, d = 4.000 Å, rel. 100, hkl 0 2 2
- 2θ = 23.10°, d = 3.850 Å, rel. 15, hkl 1 0 2
- 2θ = 23.34°, d = 3.811 Å, rel. 52, hkl 1 2 0
- 2θ = 28.21°, d = 3.163 Å, rel. 18, hkl 0 0 4
- 2θ = 34.33°, d = 2.612 Å, rel. 17, hkl 1 2 -4